(1)
The following is a computed powder diffractogram of Re2C3N6. It was derived from a structure optimized by DFT (PBE), using Cu Kα.

Most intense lines, 2θ from 10° to 90°, by intensity:
2θ (°), d [Å], I/Imax
10.66, 8.295, 100.0
15.99, 5.543, 58.2
18.28, 4.853, 40.8
35.54, 2.526, 25.3
39.32, 2.292, 17.5
32.36, 2.766, 16.7
37.83, 2.378, 14.9
45.98, 1.974, 14.8
43.40, 2.085, 13.1
34.86, 2.574, 12.4

Cell and atoms:
```
Re2C3N6
1.0
8.3426 -1.4540 0.0000
8.3426 1.4540 0.0000
-0.5919 0.0000 5.5431
Re C N
2 3 6
Direct
0.1818 0.1818 0.4048
0.8182 0.8182 0.5952
0.0000 0.0000 0.5000
0.3232 0.3232 0.0901
0.6768 0.6768 0.9099
0.0682 0.0682 0.4403
0.3048 0.3048 0.3025
0.3348 0.3348 0.8764
0.6652 0.6652 0.1236
0.6952 0.6952 0.6975
0.9318 0.9318 0.5597
```

---

(2)
The following is a computed powder diffractogram of Re2C3N6. It was derived from a structure optimized by DFT (PBE), using Cu Kα.

Most intense lines, 2θ from 10° to 90°, by intensity:
2θ (°), d [Å], I/Imax
17.58, 5.044, 100.0
19.91, 4.459, 42.9
37.85, 2.377, 38.8
38.93, 2.314, 36.3
21.79, 4.079, 34.8
40.97, 2.203, 34.0
33.85, 2.648, 33.3
21.16, 4.199, 30.9
23.79, 3.740, 26.6
49.05, 1.857, 17.9

Cell and atoms:
```
Re2C3N6
1.0
4.7263 -2.4485 0.0000
4.7263 2.4485 0.0000
-3.5458 0.0000 10.0873
Re C N
4 6 12
Direct
0.1764 0.6866 0.9972
0.3134 0.8236 0.5028
0.6866 0.1764 0.4972
0.8236 0.3134 0.0028
0.0814 0.2528 0.7672
0.2528 0.0814 0.2672
0.4192 0.5808 0.7500
0.5808 0.4192 0.2500
0.7472 0.9186 0.7328
0.9186 0.7472 0.2328
0.0479 0.1851 0.6453
0.1033 0.3262 0.8903
0.1851 0.0479 0.1453
0.3262 0.1033 0.3903
0.4037 0.5536 0.6299
0.4464 0.5963 0.8701
0.5536 0.4037 0.1299
0.5963 0.4464 0.3701
0.6738 0.8967 0.6097
0.8149 0.9521 0.8547
0.8967 0.6738 0.1097
0.9521 0.8149 0.3547
```

---

(3)
The following is a computed powder diffractogram of RuCN2. It was derived from a structure optimized by DFT (PBE), using Cu Kα.

Most intense lines, 2θ from 10° to 90°, by intensity:
2θ (°), d [Å], I/Imax
17.36, 5.108, 100.0
36.59, 2.456, 92.6
35.11, 2.556, 46.2
42.08, 2.147, 39.3
45.84, 1.980, 38.6
54.89, 1.673, 22.7
61.99, 1.497, 20.6
64.91, 1.437, 18.3
73.29, 1.292, 16.4
74.21, 1.278, 13.9

Cell and atoms:
```
RuCN2
1.0
2.9939 0.0000 0.0000
-1.4970 2.5928 0.0000
0.0000 0.0000 15.3254
Ru C N
3 3 6
Direct
0.0000 0.0000 0.0000
0.3333 0.6667 0.6667
0.6667 0.3333 0.3333
0.0000 0.0000 0.5000
0.3333 0.6667 0.1667
0.6667 0.3333 0.8333
0.0000 0.0000 0.4188
0.0000 0.0000 0.5812
0.3333 0.6667 0.0855
0.3333 0.6667 0.2479
0.6667 0.3333 0.7521
0.6667 0.3333 0.9145
```

---

(4)
The following is a computed powder diffractogram of RuCN2. It was derived from a structure optimized by DFT (PBE), using Cu Kα.

Most intense lines, 2θ from 10° to 90°, by intensity:
2θ (°), d [Å], I/Imax
38.55, 2.335, 100.0
17.67, 5.020, 84.9
50.17, 1.818, 47.8
33.98, 2.638, 42.7
66.13, 1.413, 19.1
60.82, 1.523, 19.0
63.87, 1.457, 16.8
74.36, 1.276, 13.6
35.78, 2.510, 13.2
72.61, 1.302, 10.7

Cell and atoms:
```
RuCN2
1.0
3.0461 0.0000 0.0000
-1.5230 2.6380 0.0000
0.0000 0.0000 10.0390
Ru C N
2 2 4
Direct
0.0000 0.0000 0.0000
0.0000 0.0000 0.5000
0.3333 0.6667 0.2500
0.6667 0.3333 0.7500
0.3333 0.6667 0.1260
0.3333 0.6667 0.3740
0.6667 0.3333 0.6260
0.6667 0.3333 0.8740
```

---

(5)
The following is a computed powder diffractogram of Ru4CN4. It was derived from a structure optimized by DFT (PBE), using Cu Kα.

Most intense lines, 2θ from 10° to 90°, by intensity:
2θ (°), d [Å], I/Imax
35.89, 2.502, 100.0
38.63, 2.331, 49.2
39.23, 2.296, 46.1
48.94, 1.861, 45.5
36.54, 2.459, 37.7
21.51, 4.132, 35.6
10.71, 8.264, 33.8
27.26, 3.271, 29.2
32.51, 2.755, 28.9
15.09, 5.869, 27.1

Cell and atoms:
```
Ru4CN4
1.0
10.0760 0.0000 0.0000
0.0000 2.7625 0.0000
0.0000 0.0000 14.4421
Ru C N
16 4 16
Direct
0.0561 0.2500 0.1162
0.0938 0.2500 0.5587
0.1409 0.7500 0.3465
0.2054 0.7500 0.6974
0.2946 0.2500 0.1974
0.3591 0.2500 0.8465
0.4062 0.7500 0.0587
0.4439 0.7500 0.6162
0.5561 0.2500 0.3838
0.5938 0.2500 0.9413
0.6409 0.7500 0.1535
0.7054 0.7500 0.8026
0.7946 0.2500 0.3026
0.8591 0.2500 0.6535
0.9062 0.7500 0.4413
0.9439 0.7500 0.8838
0.1530 0.2500 0.9972
0.3470 0.7500 0.4972
0.6530 0.2500 0.5028
0.8470 0.7500 0.0028
0.0116 0.7500 0.6550
0.0741 0.2500 0.9210
0.1522 0.7500 0.2121
0.2148 0.7500 0.4840
0.2852 0.2500 0.9840
0.3478 0.2500 0.7121
0.4259 0.7500 0.4210
0.4884 0.2500 0.1550
0.5116 0.7500 0.8450
0.5741 0.2500 0.5790
0.6522 0.7500 0.2879
0.7148 0.7500 0.0160
0.7852 0.2500 0.5160
0.8478 0.2500 0.7879
0.9259 0.7500 0.0790
0.9884 0.2500 0.3450
```

---

(6)
The following is a computed powder diffractogram of RuC8N6. It was derived from a structure optimized by DFT (PBE), using Cu Kα.

Most intense lines, 2θ from 10° to 90°, by intensity:
2θ (°), d [Å], I/Imax
22.73, 3.913, 100.0
14.88, 5.955, 88.2
24.23, 3.674, 48.4
17.06, 5.198, 38.0
34.73, 2.583, 29.4
46.40, 1.957, 22.6
45.39, 1.998, 21.8
28.53, 3.129, 21.2
42.80, 2.113, 20.4
24.51, 3.632, 14.9

Cell and atoms:
```
RuC8N6
1.0
7.2637 0.0000 0.0000
0.0000 5.1903 0.0000
0.0000 0.0000 10.4015
Ru C N
2 16 12
Direct
0.0000 0.0000 0.0000
0.5000 0.0000 0.5000
0.0000 0.3809 0.2422
0.0000 0.4273 0.6622
0.0000 0.5727 0.3378
0.0000 0.6191 0.7578
0.1633 0.3143 0.6173
0.1633 0.6857 0.3827
0.3367 0.3143 0.8827
0.3367 0.6857 0.1173
0.5000 0.3809 0.2578
0.5000 0.4273 0.8378
0.5000 0.5727 0.1622
0.5000 0.6191 0.7422
0.6633 0.3143 0.8827
0.6633 0.6857 0.1173
0.8367 0.3143 0.6173
0.8367 0.6857 0.3827
0.0000 0.2275 0.1594
0.0000 0.7725 0.8406
0.2062 0.2108 0.9239
0.2062 0.7892 0.0761
0.2938 0.2108 0.5761
0.2938 0.7892 0.4239
0.5000 0.2275 0.3406
0.5000 0.7725 0.6594
0.7062 0.2108 0.5761
0.7062 0.7892 0.4239
0.7938 0.2108 0.9239
0.7938 0.7892 0.0761
```

---

(7)
The following is a computed powder diffractogram of RuC8N6. It was derived from a structure optimized by DFT (PBE), using Cu Kα.

Most intense lines, 2θ from 10° to 90°, by intensity:
2θ (°), d [Å], I/Imax
20.80, 4.271, 100.0
13.86, 6.388, 84.7
15.42, 5.745, 41.6
24.13, 3.688, 22.2
40.53, 2.226, 22.1
28.77, 3.103, 21.9
42.32, 2.136, 20.8
32.06, 2.791, 20.2
34.23, 2.620, 16.0
37.24, 2.414, 13.0

Cell and atoms:
```
RuC8N6
1.0
7.3759 0.0000 0.0000
-3.6880 6.3878 0.0000
0.0000 0.0000 5.7446
Ru C N
1 8 6
Direct
0.0000 0.0000 0.0000
0.2241 0.4483 0.7784
0.2241 0.7759 0.7784
0.3333 0.6667 0.7529
0.4483 0.2241 0.2216
0.5517 0.7759 0.7784
0.6667 0.3333 0.2471
0.7759 0.2241 0.2216
0.7759 0.5517 0.2216
0.1336 0.2673 0.8118
0.1336 0.8664 0.8118
0.2673 0.1336 0.1882
0.7327 0.8664 0.8118
0.8664 0.1336 0.1882
0.8664 0.7327 0.1882
```

---

(8)
The following is a computed powder diffractogram of ZnC2S2N2. It was derived from a structure optimized by DFT (PBE), using Cu Kα.

Most intense lines, 2θ from 10° to 90°, by intensity:
2θ (°), d [Å], I/Imax
18.41, 4.820, 100.0
25.14, 3.543, 69.7
19.18, 4.629, 66.2
25.57, 3.483, 57.0
26.01, 3.426, 51.5
24.15, 3.685, 41.7
17.16, 5.168, 40.6
15.70, 5.643, 40.0
22.68, 3.921, 23.8
26.94, 3.309, 20.8

Cell and atoms:
```
ZnC2S2N2
1.0
7.8131 0.0000 0.0000
0.3944 7.8806 0.0000
3.5020 2.7706 9.6639
Zn C S N
4 8 8 8
Direct
0.1838 0.4019 0.3250
0.2827 0.0651 0.8083
0.7173 0.9349 0.1917
0.8162 0.5981 0.6750
0.0685 0.1124 0.6085
0.1039 0.4197 0.8091
0.3723 0.7067 0.3785
0.4976 0.7436 0.8823
0.5024 0.2564 0.1177
0.6277 0.2933 0.6215
0.8961 0.5803 0.1909
0.9315 0.8876 0.3915
0.0285 0.9716 0.7619
0.2259 0.3128 0.9024
0.3322 0.8271 0.9853
0.4707 0.8678 0.4030
0.5293 0.1322 0.5970
0.6678 0.1729 0.0147
0.7741 0.6872 0.0976
0.9715 0.0284 0.2381
0.0145 0.4976 0.7439
0.0947 0.2103 0.4976
0.2958 0.5911 0.3658
0.3808 0.3182 0.1878
0.6192 0.6818 0.8122
0.7042 0.4089 0.6342
0.9053 0.7897 0.5024
0.9855 0.5024 0.2561
```

---

(9)
The following is a computed powder diffractogram of Tb2Si4CN6. It was derived from a structure optimized by DFT (PBE), using Cu Kα.

Most intense lines, 2θ from 10° to 90°, by intensity:
2θ (°), d [Å], I/Imax
31.96, 2.800, 100.0
29.90, 2.989, 42.7
35.00, 2.564, 32.3
19.25, 4.610, 25.6
35.70, 2.515, 25.1
29.71, 3.007, 21.9
17.06, 5.197, 18.9
34.83, 2.576, 18.0
44.23, 2.048, 15.5
54.34, 1.688, 14.9

Cell and atoms:
```
Tb2Si4CN6
1.0
5.9733 0.0000 0.0000
0.0000 9.9776 0.0000
-5.9068 0.0000 10.4030
Tb Si C N
8 16 4 24
Direct
0.1602 0.0855 0.4193
0.1602 0.4145 0.9193
0.1682 0.0644 0.9046
0.1682 0.4356 0.4046
0.8318 0.5644 0.5954
0.8318 0.9356 0.0954
0.8398 0.5855 0.0807
0.8398 0.9145 0.5807
0.1768 0.2279 0.6591
0.1768 0.2721 0.1591
0.2985 0.7058 0.8237
0.2985 0.7942 0.3237
0.3345 0.7133 0.5796
0.3345 0.7867 0.0796
0.4946 0.5196 0.2507
0.4946 0.9804 0.7507
0.5054 0.0196 0.2493
0.5054 0.4804 0.7493
0.6655 0.2132 0.9204
0.6655 0.2868 0.4204
0.7015 0.2058 0.6763
0.7015 0.2942 0.1763
0.8232 0.7279 0.8409
0.8232 0.7721 0.3409
0.4769 0.7080 0.2478
0.4769 0.7920 0.7478
0.5231 0.2080 0.2522
0.5231 0.2920 0.7522
0.0056 0.2094 0.0015
0.0056 0.2906 0.5015
0.0173 0.2358 0.2451
0.0173 0.2642 0.7451
0.2010 0.0539 0.6380
0.2010 0.4461 0.1380
0.2602 0.5363 0.7771
0.2602 0.9637 0.2771
0.4409 0.5458 0.6009
0.4409 0.9542 0.1009
0.4558 0.7110 0.9903
0.4558 0.7890 0.4903
0.5442 0.2110 0.5097
0.5442 0.2890 0.0097
0.5591 0.0458 0.8991
0.5591 0.4542 0.3991
0.7398 0.0363 0.7229
0.7398 0.4637 0.2229
0.7990 0.5539 0.8620
0.7990 0.9461 0.3620
0.9827 0.7358 0.2549
0.9827 0.7642 0.7549
0.9944 0.7094 0.4985
0.9944 0.7906 0.9985
```

---

(10)
The following is a computed powder diffractogram of SmThCN. It was derived from a structure optimized by DFT (PBE), using Cu Kα.

Most intense lines, 2θ from 10° to 90°, by intensity:
2θ (°), d [Å], I/Imax
29.46, 3.032, 100.0
34.22, 2.620, 88.9
29.72, 3.006, 32.6
49.01, 1.859, 32.2
49.34, 1.847, 31.5
58.37, 1.581, 31.2
61.14, 1.516, 16.5
58.23, 1.585, 15.7
58.67, 1.574, 15.4
82.03, 1.175, 14.5

Cell and atoms:
```
SmThCN
1.0
3.7172 0.0000 0.0000
-1.8586 3.2191 0.0000
0.0000 0.0000 18.0383
Sm Th C N
3 3 3 3
Direct
0.0000 0.0000 0.0000
0.3333 0.6667 0.6667
0.6667 0.3333 0.3333
0.0000 0.0000 0.5008
0.3333 0.6667 0.1674
0.6667 0.3333 0.8341
0.0000 0.0000 0.7539
0.3333 0.6667 0.4206
0.6667 0.3333 0.0873
0.0000 0.0000 0.2474
0.3333 0.6667 0.9140
0.6667 0.3333 0.5807
```